Ca5Nb4Co2O18: theoretical XRD peak list (λ = 1.5418 Å (Cu Kα)), based on a GGA+U-relaxed structure.
Neutral-atom scattering factors, no anomalous dispersion.

Principal peaks in the range 10 to 90 degrees two-theta, low angle first:
hkl  2theta  Rel. int.
1 1 1  22.81  100
2 0 2  32.13  35
1 1 -5  32.41  71
3 1 -3  32.49  70
0 2 0  32.90  33
4 0 -8  46.46  26
2 2 2  46.64  49
2 0 -10  57.53  21
1 3 -5  58.43  17
3 3 -3  58.48  16

Structure:
```
data_Ca5Nb4Co2O18
_chemical_formula_sum 'Ca10 Nb8 Co4 O36'
_cell_length_a 9.5844
_cell_length_b 5.4455
_cell_length_c 16.6187
_cell_angle_alpha 90.00
_cell_angle_beta 124.86
_cell_angle_gamma 90.00
_symmetry_space_group_name_H-M 'P 1 c 1'
_symmetry_Int_Tables_number 7
loop_
_symmetry_equiv_pos_as_xyz
'x,y,z'
'x,-y,z+1/2'
loop_
_atom_site_label
_atom_site_fract_x
_atom_site_fract_y
_atom_site_fract_z
Ca1 0.0000 0.2305 0.0000
Ca2 0.1057 0.2561 0.7977
Ca3 0.3261 0.2458 0.6621
Ca4 0.4394 0.2598 0.4696
Ca5 0.7713 0.2663 0.1342
Nb1 0.0414 0.2592 0.4031
Nb2 0.2204 0.2466 0.2309
Nb3 0.5728 0.2492 0.9067
Nb4 0.7095 0.2376 0.7261
Co1 0.3813 0.2472 0.0622
Co2 0.8861 0.2523 0.5671
O1 0.0084 0.4637 0.1499
O2 0.0878 0.0491 0.6470
O3 0.1521 0.1728 0.3247
O4 0.2059 0.4455 0.9546
O5 0.2334 0.0591 0.5123
O6 0.2781 0.3315 0.1377
O7 0.3475 0.4636 0.8174
O8 0.4155 0.0261 0.3103
O9 0.4813 0.1643 0.9843
O10 0.5434 0.4555 0.6206
O11 0.5636 0.0441 0.1671
O12 0.6240 0.3152 0.8072
O13 0.6851 0.4617 0.4905
O14 0.7676 0.0401 0.9893
O15 0.8204 0.1637 0.6552
O16 0.8824 0.4646 0.2864
O17 0.9139 0.0532 0.8458
O18 0.9604 0.3343 0.4823
```